# 1
Computed powder X-ray diffraction pattern
Compound: Dy2Tl2S3
Radiation: Cu Kα (weighted mean of Kα1 and Kα2)
Structure: a GGA-PBE-relaxed structure
Kinematic intensities with the Lorentz-polarization factor, no thermal factor.

Cell and atoms:
```
data_Dy2Tl2S3
_chemical_formula_sum 'Dy4 Tl4 S6'
_cell_length_a 8.4235
_cell_length_b 8.4235
_cell_length_c 6.6501
_cell_angle_alpha 107.72
_cell_angle_beta 107.72
_cell_angle_gamma 56.59
_symmetry_space_group_name_H-M 'P 1'
_symmetry_Int_Tables_number 1
_symmetry_space_group_name_Hall 'P 1'
loop_
_atom_site_label
_atom_site_fract_x
_atom_site_fract_y
_atom_site_fract_z
Dy1 0.0065 0.7286 0.9431
Dy2 0.2714 0.9935 0.5569
Dy3 0.7286 0.0065 0.4431
Dy4 0.9935 0.2714 0.0569
Tl1 0.3140 0.5009 0.5232
Tl2 0.4991 0.6860 0.9768
Tl3 0.5009 0.3140 0.0232
Tl4 0.6860 0.4991 0.4768
S1 0.0485 0.9515 0.7500
S2 0.0959 0.3543 0.7652
S3 0.3543 0.0959 0.2652
S4 0.6457 0.9041 0.7348
S5 0.9041 0.6457 0.2348
S6 0.9515 0.0485 0.2500
```

The 12 most intense peaks (10 to 90 degrees two-theta), sorted by position:
2θ 12.76, rel. 222; 2θ 25.60, rel. 432; 2θ 27.21, rel. 1000; 2θ 28.61, rel. 361; 2θ 31.19, rel. 524; 2θ 31.63, rel. 953; 2θ 33.45, rel. 382; 2θ 43.04, rel. 258; 2θ 45.43, rel. 153; 2θ 46.93, rel. 262; 2θ 53.10, rel. 140; 2θ 54.57, rel. 149


# 2
Computed powder X-ray diffraction pattern
Compound: Ag3W5C
Radiation: Cu Kα (weighted mean of Kα1 and Kα2)
Structure: a GGA-PBE-relaxed structure
Kinematic intensities with the Lorentz-polarization factor, no thermal factor.

Cell and atoms:
```
data_Ag3W5C
_chemical_formula_sum 'Ag3 W5 C1'
_cell_length_a 5.0994
_cell_length_b 5.4853
_cell_length_c 5.0997
_cell_angle_alpha 90.00
_cell_angle_beta 90.23
_cell_angle_gamma 90.00
_symmetry_space_group_name_H-M 'P 1'
_symmetry_Int_Tables_number 1
_symmetry_space_group_name_Hall 'P 1'
loop_
_atom_site_label
_atom_site_fract_x
_atom_site_fract_y
_atom_site_fract_z
Ag1 0.0000 0.0000 0.0000
Ag2 0.0000 0.2076 0.5000
Ag3 0.5000 0.7914 0.0000
W1 0.0000 0.5000 0.0000
W2 0.2425 0.6964 0.4995
W3 0.4997 0.3042 0.2424
W4 0.5003 0.3042 0.7576
W5 0.7575 0.6964 0.5005
C1 0.5000 0.0005 0.5000
```

The 12 most intense peaks (10 to 90 degrees two-theta), sorted by position:
2θ 16.16, rel. 248; 2θ 35.20, rel. 385; 2θ 37.22, rel. 1000; 2θ 38.95, rel. 960; 2θ 39.45, rel. 433; 2θ 39.58, rel. 434; 2θ 41.36, rel. 477; 2θ 42.89, rel. 528; 2θ 43.01, rel. 518; 2θ 48.77, rel. 238; 2θ 64.49, rel. 217; 2θ 74.41, rel. 237


Please write out number 1 again, unchanged.
Computed powder X-ray diffraction pattern
Compound: Dy2Tl2S3
Radiation: Cu Kα (weighted mean of Kα1 and Kα2)
Structure: a GGA-PBE-relaxed structure
Kinematic intensities with the Lorentz-polarization factor, no thermal factor.

Cell and atoms:
```
data_Dy2Tl2S3
_chemical_formula_sum 'Dy4 Tl4 S6'
_cell_length_a 8.4235
_cell_length_b 8.4235
_cell_length_c 6.6501
_cell_angle_alpha 107.72
_cell_angle_beta 107.72
_cell_angle_gamma 56.59
_symmetry_space_group_name_H-M 'P 1'
_symmetry_Int_Tables_number 1
_symmetry_space_group_name_Hall 'P 1'
loop_
_atom_site_label
_atom_site_fract_x
_atom_site_fract_y
_atom_site_fract_z
Dy1 0.0065 0.7286 0.9431
Dy2 0.2714 0.9935 0.5569
Dy3 0.7286 0.0065 0.4431
Dy4 0.9935 0.2714 0.0569
Tl1 0.3140 0.5009 0.5232
Tl2 0.4991 0.6860 0.9768
Tl3 0.5009 0.3140 0.0232
Tl4 0.6860 0.4991 0.4768
S1 0.0485 0.9515 0.7500
S2 0.0959 0.3543 0.7652
S3 0.3543 0.0959 0.2652
S4 0.6457 0.9041 0.7348
S5 0.9041 0.6457 0.2348
S6 0.9515 0.0485 0.2500
```

The 12 most intense peaks (10 to 90 degrees two-theta), sorted by position:
2θ 12.76, rel. 222; 2θ 25.60, rel. 432; 2θ 27.21, rel. 1000; 2θ 28.61, rel. 361; 2θ 31.19, rel. 524; 2θ 31.63, rel. 953; 2θ 33.45, rel. 382; 2θ 43.04, rel. 258; 2θ 45.43, rel. 153; 2θ 46.93, rel. 262; 2θ 53.10, rel. 140; 2θ 54.57, rel. 149


Repeat the second record exactly.
Computed powder X-ray diffraction pattern
Compound: Ag3W5C
Radiation: Cu Kα (weighted mean of Kα1 and Kα2)
Structure: a GGA-PBE-relaxed structure
Kinematic intensities with the Lorentz-polarization factor, no thermal factor.

Cell and atoms:
```
data_Ag3W5C
_chemical_formula_sum 'Ag3 W5 C1'
_cell_length_a 5.0994
_cell_length_b 5.4853
_cell_length_c 5.0997
_cell_angle_alpha 90.00
_cell_angle_beta 90.23
_cell_angle_gamma 90.00
_symmetry_space_group_name_H-M 'P 1'
_symmetry_Int_Tables_number 1
_symmetry_space_group_name_Hall 'P 1'
loop_
_atom_site_label
_atom_site_fract_x
_atom_site_fract_y
_atom_site_fract_z
Ag1 0.0000 0.0000 0.0000
Ag2 0.0000 0.2076 0.5000
Ag3 0.5000 0.7914 0.0000
W1 0.0000 0.5000 0.0000
W2 0.2425 0.6964 0.4995
W3 0.4997 0.3042 0.2424
W4 0.5003 0.3042 0.7576
W5 0.7575 0.6964 0.5005
C1 0.5000 0.0005 0.5000
```

The 12 most intense peaks (10 to 90 degrees two-theta), sorted by position:
2θ 16.16, rel. 248; 2θ 35.20, rel. 385; 2θ 37.22, rel. 1000; 2θ 38.95, rel. 960; 2θ 39.45, rel. 433; 2θ 39.58, rel. 434; 2θ 41.36, rel. 477; 2θ 42.89, rel. 528; 2θ 43.01, rel. 518; 2θ 48.77, rel. 238; 2θ 64.49, rel. 217; 2θ 74.41, rel. 237